Entry 1:
This entry pairs a crystal structure of Ti4ZnS8 with its theoretical powder diffraction line list. Radiation: Cu Kα. Structure: a PBE-relaxed structure.
Neutral-atom scattering factors, no anomalous dispersion.

Main lines, in order of rising 2θ (10° ≤ 2θ ≤ 80°):
two_theta	d (Å)	I/Imax
15.56	5.696	324
17.88	4.961	111
29.79	3.000	174
36.21	2.481	1000
51.98	1.759	319
52.31	1.749	311
64.99	1.435	154
76.86	1.240	93

Cell and atoms:
a b c (Å): 6.996 6.996 6.996
angles (deg): 60.39 60.39 60.39
Fractional coordinates of all 13 atoms:
Ti: 0.000 0.000 0.000
Ti: 0.000 0.000 0.500
Ti: 0.000 0.500 0.000
Ti: 0.500 0.000 0.000
Zn: 0.500 0.500 0.500
S: 0.243 0.752 0.752
S: 0.246 0.246 0.246
S: 0.248 0.248 0.757
S: 0.248 0.757 0.248
S: 0.752 0.243 0.752
S: 0.752 0.752 0.243
S: 0.754 0.754 0.754
S: 0.757 0.248 0.248

Entry 2:
This entry pairs a crystal structure of ZrTiS6 with its theoretical powder diffraction line list. Radiation: Cu Kα. Structure: a PBE-relaxed structure.
Neutral-atom scattering factors, no anomalous dispersion.

Main lines, in order of rising 2θ (10° ≤ 2θ ≤ 80°):
two_theta	d (Å)	I/Imax
18.99	4.673	396
20.90	4.251	340
31.99	2.798	1000
37.71	2.385	271
41.59	2.171	263
44.00	2.058	189
44.46	2.038	233
45.84	1.979	175

Cell and atoms:
a b c (Å): 5.127 3.545 9.169
angles (deg): 90.00 96.37 90.00
Fractional coordinates of all 8 atoms:
Zr: 0.000 0.000 0.000
Ti: 0.556 0.500 0.300
S: 0.042 0.500 0.207
S: 0.161 0.500 0.820
S: 0.392 0.000 0.463
S: 0.520 0.000 0.105
S: 0.758 0.500 0.825
S: 0.787 0.000 0.460

Entry 3:
This entry pairs a crystal structure of ZrTiS4 with its theoretical powder diffraction line list. Radiation: Cu Kα. Structure: a PBE-relaxed structure.
Neutral-atom scattering factors, no anomalous dispersion.

Main lines, in order of rising 2θ (10° ≤ 2θ ≤ 80°):
two_theta	d (Å)	I/Imax
14.41	6.148	978
32.41	2.762	1000
41.42	2.180	665
51.17	1.785	298
53.44	1.714	172
53.65	1.708	256
61.88	1.499	136
67.85	1.381	141

Cell and atoms:
a b c (Å): 3.571 3.571 12.296
angles (deg): 90.00 90.00 120.00
Fractional coordinates of all 6 atoms:
Zr: 0.000 0.000 0.000
Ti: 0.000 0.000 0.500
S: 0.333 0.667 0.123
S: 0.333 0.667 0.610
S: 0.667 0.333 0.390
S: 0.667 0.333 0.877

Entry 4:
This entry pairs a crystal structure of TlS with its theoretical powder diffraction line list. Radiation: Cu Kα. Structure: a PBE-relaxed structure.
Neutral-atom scattering factors, no anomalous dispersion.

Main lines, in order of rising 2θ (10° ≤ 2θ ≤ 80°):
two_theta	d (Å)	I/Imax
22.30	3.987	993
25.52	3.491	299
31.74	2.819	561
34.14	2.626	1000
41.16	2.193	461
51.24	1.783	291
52.89	1.731	280
58.09	1.588	351

Cell and atoms:
a b c (Å): 6.631 6.631 6.631
angles (deg): 106.09 106.09 116.47
Fractional coordinates of all 8 atoms:
Tl: 0.250 0.250 0.000
Tl: 0.250 0.750 0.500
Tl: 0.750 0.250 0.500
Tl: 0.750 0.750 0.000
S: 0.171 0.671 0.842
S: 0.329 0.171 0.500
S: 0.671 0.829 0.500
S: 0.829 0.329 0.158